[1]
Computed XRD peak list of SrLi8Cd4 for Cu Kα X-rays, from DFT lattice parameters and positions (GGA-PBE).
Lines closer than 0.1° are merged.

Atomic structure:
a b c (Å): 9.8988 9.8988 5.8112
angles (deg): 90.00 90.00 90.00
Space group I4/mmm (No. 139)
Symmetry-distinct sites (fractional):
Sr1 0.0000 0.0000 0.0000
Li1 0.0000 0.2267 0.5000
Li2 0.0000 0.3518 0.0000
Cd1 0.2500 0.2500 0.2500

Principal peaks in the range 15 to 90 degrees two-theta, sorted by position:
| index | d [Å] | I/Imax |
| --- | --- | --- |
| 2 0 0 | 4.949 | 100 |
| 2 2 0 | 3.500 | 89 |
| 2 0 2 | 2.506 | 83 |
| 4 0 0 | 2.475 | 42 |
| 2 2 2 | 2.236 | 30 |
| 4 2 0 | 2.213 | 27 |
| 4 0 2 | 1.884 | 14 |
| 4 2 2 | 1.761 | 51 |
| 4 4 0 | 1.750 | 15 |
| 6 2 0 | 1.565 | 18 |
| 6 0 2 | 1.435 | 14 |
| 6 4 2 | 1.241 | 16 |

=====

[2]
Computed XRD peak list of Sr4LiCd3 for Cu Kα X-rays, from DFT lattice parameters and positions (GGA-PBE).
Lines closer than 0.1° are merged.

Atomic structure:
a b c (Å): 4.0930 5.7675 11.5552
angles (deg): 90.00 90.00 90.00
Space group Pmmm (No. 47)
Symmetry-distinct sites (fractional):
Sr1 0.0000 0.0000 0.0000
Sr2 0.0000 0.0000 0.5000
Sr3 0.0000 0.5000 0.2433
Li1 0.5000 0.5000 0.5000
Cd1 0.5000 0.0000 0.2543
Cd2 0.5000 0.5000 0.0000

Principal peaks in the range 15 to 90 degrees two-theta, sorted by position:
| index | d [Å] | I/Imax |
| --- | --- | --- |
| 0 1 0 | 5.772 | 4 |
| 0 1 1 | 5.160 | 4 |
| 0 2 0 | 2.889 | 100 |
| 2 0 0 | 2.046 | 6 |
| 0 2 4 | 2.041 | 12 |
| 2 2 0 | 1.669 | 25 |
| 1 3 2 | 1.666 | 13 |
| 2 2 4 | 1.445 | 10 |
| 3 1 2 | 1.294 | 5 |
| 0 4 4 | 1.291 | 10 |
| 3 3 2 | 1.093 | 10 |
| 2 4 4 | 1.092 | 6 |

=====

[3]
Computed XRD peak list of SrLi2Cd8 for Cu Kα X-rays, from DFT lattice parameters and positions (GGA-PBE).
Lines closer than 0.1° are merged.

Atomic structure:
a b c (Å): 5.8786 5.8786 9.7912
angles (deg): 90.00 90.00 90.00
Space group P4/mmm (No. 123)
Symmetry-distinct sites (fractional):
Sr1 0.0000 0.0000 0.0000
Li1 0.0000 0.5000 0.5000
Cd1 0.2520 0.2520 0.2873

Principal peaks in the range 15 to 90 degrees two-theta, sorted by position:
| index | d [Å] | I/Imax |
| --- | --- | --- |
| 0 0 2 | 4.896 | 84 |
| 0 0 3 | 3.264 | 27 |
| 2 0 0 | 2.939 | 61 |
| 2 0 1 | 2.815 | 14 |
| 2 0 2 | 2.520 | 100 |
| 2 0 3 | 2.184 | 21 |
| 2 2 0 | 2.078 | 34 |
| 2 2 2 | 1.913 | 26 |
| 2 2 3 | 1.753 | 17 |
| 2 0 5 | 1.630 | 26 |
| 4 2 2 | 1.270 | 21 |
| 4 2 5 | 1.091 | 14 |